AcSb3Rh: simulated PXRD pattern (a wavelength of 1.5418 Å), based on a DFT-relaxed cell (PBE, Alexandria).

Principal peaks in the range 2θ = 5–70°, in order of rising 2θ:
- (1 1 1), 2θ = 23.74°, 3.748 Å, I 18
- (0 0 2), 2θ = 27.72°, 3.218 Å, I 38
- (2 1 0), 2θ = 29.94°, 2.985 Å, I 28
- (0 2 1), 2θ = 31.69°, 2.824 Å, I 84
- (2 1 1), 2θ = 33.08°, 2.708 Å, I 100
- (1 1 2), 2θ = 33.97°, 2.639 Å, I 18
- (2 1 2), 2θ = 41.25°, 2.188 Å, I 50
- (0 2 3), 2θ = 51.57°, 1.772 Å, I 20
- (2 3 2), 2θ = 59.27°, 1.559 Å, I 24
- (4 2 1), 2θ = 64.05°, 1.454 Å, I 28

```
data_AcSb3Rh
_cell_length_a 6.7829
_cell_length_b 6.2841
_cell_length_c 6.4363
_cell_angle_alpha 90.00
_cell_angle_beta 90.00
_cell_angle_gamma 90.00
_space_group_name_H-M_alt 'P m n 21'
_space_group_IT_number 31
_space_group_name_Hall 'P 2ac -2'
loop_
_atom_site_label
_atom_site_type_symbol
_atom_site_fract_x
_atom_site_fract_y
_atom_site_fract_z
Ac1 Ac 0.0000 0.1368 0.0000
Sb1 Sb 0.0000 0.9042 0.5364
Sb2 Sb 0.2340 0.3383 0.4551
Rh1 Rh 0.0000 0.6106 0.2500
```